Structure and simulated XRD peak list of LaCBr (a GGA-PBE-relaxed structure; Cu Kα).

Top 10 peaks for 10 to 90 degrees two-theta, low angle first:
two_theta	d (Å)	Rel. int.
17.44	5.085	18
24.69	3.606	44
28.61	3.120	60
29.87	2.992	31
30.72	2.910	22
30.90	2.894	100
42.43	2.130	36
42.79	2.113	38
43.97	2.059	26
53.31	1.719	21

a = 4.2727 Å, b = 4.2727 Å, c = 10.1967 Å
α = 93.65°, β = 93.65°, γ = 57.63°
Sites, in units of the cell vectors:
La (0.1445, 0.1445, 0.1504)
La (0.8555, 0.8555, 0.8496)
C (0.4268, 0.4268, 0.0323)
C (0.5732, 0.5732, 0.9677)
Br (0.1753, 0.1753, 0.6604)
Br (0.8247, 0.8247, 0.3396)

---

Structure and simulated XRD peak list of Mn (a GGA-PBE-relaxed structure; Cu Kα).

Top 10 peaks for 10 to 90 degrees two-theta, low angle first:
two_theta	d (Å)	Rel. int.
13.75	6.438	50
22.55	3.942	29
27.71	3.219	70
35.08	2.558	57
39.59	2.276	42
42.11	2.146	93
46.04	1.971	58
48.29	1.885	31
49.01	1.858	100
71.84	1.314	53

a = 7.8849 Å, b = 7.8849 Å, c = 7.8849 Å
α = 60.00°, β = 60.00°, γ = 60.00°
Sites, in units of the cell vectors:
Mn (0.0219, 0.3260, 0.3260)
Mn (0.1001, 0.6333, 0.6333)
Mn (0.1984, 0.1984, 0.8016)
Mn (0.1984, 0.8016, 0.1984)
Mn (0.1984, 0.8016, 0.8016)
Mn (0.3260, 0.0219, 0.3260)
Mn (0.3260, 0.3260, 0.0219)
Mn (0.3260, 0.3260, 0.3260)
Mn (0.4266, 0.4266, 0.4266)
Mn (0.4266, 0.4266, 0.7203)
Mn (0.4266, 0.7203, 0.4266)
Mn (0.4820, 0.8393, 0.8393)
Mn (0.6333, 0.1001, 0.6333)
Mn (0.6333, 0.6333, 0.1001)
Mn (0.6333, 0.6333, 0.6333)
Mn (0.7203, 0.4266, 0.4266)
Mn (0.8016, 0.1984, 0.1984)
Mn (0.8016, 0.1984, 0.8016)
Mn (0.8016, 0.8016, 0.1984)
Mn (0.8393, 0.4820, 0.8393)
Mn (0.8393, 0.8393, 0.4820)
Mn (0.8393, 0.8393, 0.8393)

---

Structure and simulated XRD peak list of K2UCl5 (a GGA-PBE-relaxed structure; Cu Kα).

Top 10 peaks for 10 to 90 degrees two-theta, low angle first:
two_theta	d (Å)	Rel. int.
12.80	6.915	100
13.58	6.522	54
20.14	4.408	39
23.18	3.837	35
23.95	3.716	55
24.38	3.651	33
32.93	2.720	34
34.21	2.621	31
37.26	2.413	33
40.95	2.204	28

a = 13.0441 Å, b = 8.8129 Å, c = 8.1559 Å
α = 90.00°, β = 90.00°, γ = 90.00°
Sites, in units of the cell vectors:
K (0.1708, 0.0048, 0.0499)
K (0.1708, 0.4952, 0.0499)
K (0.3292, 0.5048, 0.5499)
K (0.3292, 0.9952, 0.5499)
K (0.6708, 0.0048, 0.4501)
K (0.6708, 0.4952, 0.4501)
K (0.8292, 0.5048, 0.9501)
K (0.8292, 0.9952, 0.9501)
U (0.0028, 0.2500, 0.5697)
U (0.4972, 0.7500, 0.0697)
U (0.5028, 0.2500, 0.9303)
U (0.9972, 0.7500, 0.4303)
Cl (0.0070, 0.2500, 0.9192)
Cl (0.0790, 0.5411, 0.6627)
Cl (0.0790, 0.9589, 0.6627)
Cl (0.1774, 0.2500, 0.3722)
Cl (0.2032, 0.7500, 0.3369)
Cl (0.2968, 0.2500, 0.8369)
Cl (0.3226, 0.7500, 0.8722)
Cl (0.4210, 0.0411, 0.1627)
Cl (0.4210, 0.4589, 0.1627)
Cl (0.4930, 0.7500, 0.4192)
Cl (0.5070, 0.2500, 0.5808)
Cl (0.5790, 0.5411, 0.8373)
Cl (0.5790, 0.9589, 0.8373)
Cl (0.6774, 0.2500, 0.1278)
Cl (0.7032, 0.7500, 0.1631)
Cl (0.7968, 0.2500, 0.6631)
Cl (0.8226, 0.7500, 0.6278)
Cl (0.9210, 0.0411, 0.3373)
Cl (0.9210, 0.4589, 0.3373)
Cl (0.9930, 0.7500, 0.0808)

---

- Which formula does entry 3 have?
  K2UCl5

---

Please write out number 3 again, unchanged.
Structure and simulated XRD peak list of K2UCl5 (a GGA-PBE-relaxed structure; Cu Kα).

Top 10 peaks for 10 to 90 degrees two-theta, low angle first:
two_theta	d (Å)	Rel. int.
12.80	6.915	100
13.58	6.522	54
20.14	4.408	39
23.18	3.837	35
23.95	3.716	55
24.38	3.651	33
32.93	2.720	34
34.21	2.621	31
37.26	2.413	33
40.95	2.204	28

a = 13.0441 Å, b = 8.8129 Å, c = 8.1559 Å
α = 90.00°, β = 90.00°, γ = 90.00°
Sites, in units of the cell vectors:
K (0.1708, 0.0048, 0.0499)
K (0.1708, 0.4952, 0.0499)
K (0.3292, 0.5048, 0.5499)
K (0.3292, 0.9952, 0.5499)
K (0.6708, 0.0048, 0.4501)
K (0.6708, 0.4952, 0.4501)
K (0.8292, 0.5048, 0.9501)
K (0.8292, 0.9952, 0.9501)
U (0.0028, 0.2500, 0.5697)
U (0.4972, 0.7500, 0.0697)
U (0.5028, 0.2500, 0.9303)
U (0.9972, 0.7500, 0.4303)
Cl (0.0070, 0.2500, 0.9192)
Cl (0.0790, 0.5411, 0.6627)
Cl (0.0790, 0.9589, 0.6627)
Cl (0.1774, 0.2500, 0.3722)
Cl (0.2032, 0.7500, 0.3369)
Cl (0.2968, 0.2500, 0.8369)
Cl (0.3226, 0.7500, 0.8722)
Cl (0.4210, 0.0411, 0.1627)
Cl (0.4210, 0.4589, 0.1627)
Cl (0.4930, 0.7500, 0.4192)
Cl (0.5070, 0.2500, 0.5808)
Cl (0.5790, 0.5411, 0.8373)
Cl (0.5790, 0.9589, 0.8373)
Cl (0.6774, 0.2500, 0.1278)
Cl (0.7032, 0.7500, 0.1631)
Cl (0.7968, 0.2500, 0.6631)
Cl (0.8226, 0.7500, 0.6278)
Cl (0.9210, 0.0411, 0.3373)
Cl (0.9210, 0.4589, 0.3373)
Cl (0.9930, 0.7500, 0.0808)